Computed powder diffraction line list
Compound: CaH6C6Cl2O8
Radiation: Cu Kα X-rays
Structure: the GGA-PBE geometry in the Materials Project
Peak positions follow from Bragg's law for the DFT cell and can differ from measured ones.

Cell and atoms:
```
data_CaH6C6Cl2O8
_chemical_formula_sum 'Ca4 H24 C24 Cl8 O32'
_symmetry_space_group_name_H-M 'C 1 2/m 1'
_symmetry_Int_Tables_number 12
_symmetry_space_group_name_Hall '-C 2y'
_cell_length_a 11.119
_cell_length_b 17.077
_cell_length_c 6.583
_cell_angle_alpha 90.00
_cell_angle_beta 103.73
_cell_angle_gamma 90.00
loop_
_atom_site_label
_atom_site_type_symbol
_atom_site_fract_x
_atom_site_fract_y
_atom_site_fract_z
Ca1 Ca 0.193 0.000 0.135
H1 H 0.031 0.046 0.709
H2 H 0.055 0.151 0.442
H3 H 0.220 0.455 0.393
C1 C 0.183 0.273 0.153
C2 C 0.198 0.193 0.118
C3 C 0.233 0.332 0.047
Cl1 Cl 0.101 0.302 0.332
O1 O 0.000 0.118 0.500
O2 O 0.026 0.000 0.800
O3 O 0.084 0.500 0.750
O4 O 0.157 0.138 0.213
O5 O 0.227 0.405 0.080
O6 O 0.248 0.500 0.484
```

Most intense lines, 2θ = 10–80°, in order of rising 2θ:
d (Å)  2θ (°)  intensity  h k l
6.394  13.85  18  0 0 1
5.401  16.41  40  2 0 0
5.036  17.61  12  1 3 0
3.714  23.96  100  2 0 1
3.406  26.16  33  2 2 1
2.846  31.43  16  0 6 0
2.601  34.48  12  4 2 -1
2.465  36.45  18  3 3 -2
2.449  36.69  14  3 5 -1
2.368  38.00  16  1 5 -2
2.193  41.16  14  1 7 1
1.857  49.06  18  4 0 2

Computed powder diffraction line list
Compound: Ca2CuCO5
Radiation: Cu Kα X-rays
Structure: the GGA-PBE geometry in the Materials Project
Peak positions follow from Bragg's law for the DFT cell and can differ from measured ones.

Cell and atoms:
```
data_Ca2CuCO5
_chemical_formula_sum 'Ca2 Cu1 C1 O5'
_symmetry_space_group_name_H-M 'P m m 2'
_symmetry_Int_Tables_number 25
_symmetry_space_group_name_Hall 'P 2 -2'
_cell_length_a 3.611
_cell_length_b 7.222
_cell_length_c 4.311
_cell_angle_alpha 90.00
_cell_angle_beta 90.00
_cell_angle_gamma 90.00
loop_
_atom_site_label
_atom_site_type_symbol
_atom_site_fract_x
_atom_site_fract_y
_atom_site_fract_z
Ca1 Ca 0.000 0.218 0.000
Cu1 Cu 0.500 0.000 0.501
C1 C 0.500 0.500 0.517
O1 O 0.000 0.000 0.508
O2 O 0.500 0.000 0.016
O3 O 0.500 0.343 0.664
O4 O 0.500 0.500 0.217
```

Most intense lines, 2θ = 10–80°, in order of rising 2θ:
d (Å)  2θ (°)  intensity  h k l
7.222  12.26  59  0 1 0
3.611  24.66  9  1 0 0
2.768  32.34  100  0 2 1
2.553  35.15  47  1 2 0
2.155  41.92  16  0 0 2
2.102  43.03  18  0 3 1
2.065  43.83  16  0 1 2
2.003  45.27  13  1 3 0
1.805  50.56  25  2 0 0
1.647  55.82  19  1 2 2
1.512  61.30  20  2 2 1
1.384  67.70  12  2 0 2

Computed powder diffraction line list
Compound: Ca2CO3F2
Radiation: Cu Kα X-rays
Structure: the GGA-PBE geometry in the Materials Project
Peak positions follow from Bragg's law for the DFT cell and can differ from measured ones.

Cell and atoms:
```
data_Ca2CO3F2
_chemical_formula_sum 'Ca8 C4 O12 F8'
_symmetry_space_group_name_H-M 'P b c n'
_symmetry_Int_Tables_number 60
_symmetry_space_group_name_Hall '-P 2n 2ab'
_cell_length_a 7.738
_cell_length_b 7.548
_cell_length_c 6.709
_cell_angle_alpha 90.00
_cell_angle_beta 90.00
_cell_angle_gamma 90.00
loop_
_atom_site_label
_atom_site_type_symbol
_atom_site_fract_x
_atom_site_fract_y
_atom_site_fract_z
Ca1 Ca 0.173 0.163 0.039
C1 C 0.000 0.467 0.750
O1 O 0.000 0.294 0.750
O2 O 0.130 0.449 0.173
F1 F 0.121 0.121 0.397
```

Most intense lines, 2θ = 10–80°, in order of rising 2θ:
d (Å)  2θ (°)  intensity  h k l
3.289  27.11  40  0 2 1
3.063  29.15  75  2 1 1
3.027  29.51  55  1 2 1
2.850  31.39  100  1 1 2
2.534  35.42  60  2 0 2
2.393  37.59  49  1 3 0
2.294  39.28  54  3 1 1
2.066  43.81  44  1 1 3
1.867  48.78  50  1 2 3
1.805  50.57  39  4 1 1
1.801  50.69  59  3 3 0
1.768  51.69  41  1 4 1

Computed powder diffraction line list
Compound: RbCaCO3F
Radiation: Cu Kα X-rays
Structure: the GGA-PBE geometry in the Materials Project
Peak positions follow from Bragg's law for the DFT cell and can differ from measured ones.

Cell and atoms:
```
data_RbCaCO3F
_chemical_formula_sum 'Rb3 Ca3 C3 O9 F3'
_symmetry_space_group_name_H-M 'P -6 2 m'
_symmetry_Int_Tables_number 189
_symmetry_space_group_name_Hall 'P -6 -2'
_cell_length_a 9.2775
_cell_length_b 9.2775
_cell_length_c 4.4955
_cell_angle_alpha 90.00
_cell_angle_beta 90.00
_cell_angle_gamma 120.00
loop_
_atom_site_label
_atom_site_type_symbol
_atom_site_fract_x
_atom_site_fract_y
_atom_site_fract_z
Rb1 Rb 0.0000 0.7238 0.0000
Ca1 Ca 0.0000 0.3906 0.5000
C1 C 0.0000 0.0000 0.5000
C2 C 0.3333 0.6667 0.5000
O1 O 0.0000 0.1396 0.5000
O2 O 0.2071 0.6918 0.5000
F1 F 0.0000 0.3866 0.0000
```

Most intense lines, 2θ = 10–80°, in order of rising 2θ:
d (Å)  2θ (°)  intensity  h k l
4.639  19.13  19  1 1 0
3.228  27.63  100  1 1 1
3.037  29.41  30  2 1 0
2.678  33.46  28  3 0 0
2.516  35.68  28  2 1 1
2.248  40.12  26  0 0 2
2.228  40.48  18  3 1 0
1.997  45.43  14  3 1 1
1.843  49.45  12  3 2 0
1.807  50.52  13  2 1 2
1.722  53.20  14  3 0 2
1.426  65.47  17  1 1 3

Computed powder diffraction line list
Compound: CaC2S2O2F2
Radiation: Cu Kα X-rays
Structure: the GGA-PBE geometry in the Materials Project
Peak positions follow from Bragg's law for the DFT cell and can differ from measured ones.

Cell and atoms:
```
data_CaC2S2O2F2
_chemical_formula_sum 'Ca1 C2 S2 O2 F2'
_symmetry_space_group_name_H-M 'P -1'
_symmetry_Int_Tables_number 2
_symmetry_space_group_name_Hall '-P 1'
_cell_length_a 4.850
_cell_length_b 5.255
_cell_length_c 9.801
_cell_angle_alpha 88.18
_cell_angle_beta 75.72
_cell_angle_gamma 63.13
loop_
_atom_site_label
_atom_site_type_symbol
_atom_site_fract_x
_atom_site_fract_y
_atom_site_fract_z
Ca1 Ca 0.000 0.000 0.000
C1 C 0.463 0.771 0.338
S1 S 0.444 0.251 0.846
O1 O 0.269 0.576 0.894
F1 F 0.309 0.051 0.386
```

Most intense lines, 2θ = 10–80°, in order of rising 2θ:
d (Å)  2θ (°)  intensity  h k l
4.668  19.01  17  0 1 0
4.348  20.42  28  0 1 -1
4.177  21.27  20  1 0 0
4.140  21.46  11  1 1 1
3.636  24.48  97  1 0 2
3.619  24.60  100  1 1 -1
3.179  28.07  14  0 1 2
2.903  30.80  25  1 1 -2
2.732  32.78  11  0 1 -3
2.425  37.07  41  2 1 1
2.334  38.58  26  1 0 4
1.812  50.37  15  0 1 -5

Computed powder diffraction line list
Compound: CaTl6C2O6F2
Radiation: Cu Kα X-rays
Structure: the GGA-PBE geometry in the Materials Project
Peak positions follow from Bragg's law for the DFT cell and can differ from measured ones.

Cell and atoms:
```
data_CaTl6C2O6F2
_chemical_formula_sum 'Ca1 Tl6 C2 O6 F2'
_symmetry_space_group_name_H-M 'P 1'
_symmetry_Int_Tables_number 1
_symmetry_space_group_name_Hall 'P 1'
_cell_length_a 7.399
_cell_length_b 7.577
_cell_length_c 7.595
_cell_angle_alpha 63.18
_cell_angle_beta 89.56
_cell_angle_gamma 87.87
loop_
_atom_site_label
_atom_site_type_symbol
_atom_site_fract_x
_atom_site_fract_y
_atom_site_fract_z
Ca1 Ca 0.000 0.000 0.000
Tl1 Tl 0.255 0.995 0.509
Tl2 Tl 0.310 0.449 0.009
Tl3 Tl 0.413 0.716 0.283
Tl4 Tl 0.587 0.021 0.755
Tl5 Tl 0.820 0.454 0.246
Tl6 Tl 0.831 0.624 0.671
C1 C 0.222 0.386 0.624
C2 C 0.749 0.027 0.262
O1 O 0.137 0.257 0.775
O2 O 0.230 0.375 0.459
O3 O 0.301 0.530 0.640
O4 O 0.654 0.032 0.403
O5 O 0.790 0.859 0.258
O6 O 0.811 0.187 0.118
F1 F 0.040 0.738 0.949
F2 F 0.613 0.644 0.921
```

Most intense lines, 2θ = 10–80°, in order of rising 2θ:
d (Å)  2θ (°)  intensity  h k l
3.697  24.07  42  2 0 0
3.541  25.15  100  1 1 -1
3.383  26.35  57  0 2 0
3.360  26.52  46  -1 1 2
3.317  26.88  51  -1 2 1
3.246  27.48  51  2 1 1
3.193  27.95  59  2 -1 0
3.069  29.10  57  1 0 2
2.989  29.89  63  1 2 2
2.932  30.49  41  -1 2 2
2.510  35.77  35  0 1 3
2.323  38.76  34  3 0 -1

Computed powder diffraction line list
Compound: CaTl6C2O6F2
Radiation: Cu Kα X-rays
Structure: the GGA-PBE geometry in the Materials Project
Peak positions follow from Bragg's law for the DFT cell and can differ from measured ones.

Cell and atoms:
```
data_CaTl6C2O6F2
_chemical_formula_sum 'Ca1 Tl6 C2 O6 F2'
_symmetry_space_group_name_H-M 'P 1'
_symmetry_Int_Tables_number 1
_symmetry_space_group_name_Hall 'P 1'
_cell_length_a 7.379
_cell_length_b 7.448
_cell_length_c 7.965
_cell_angle_alpha 90.36
_cell_angle_beta 116.84
_cell_angle_gamma 90.57
loop_
_atom_site_label
_atom_site_type_symbol
_atom_site_fract_x
_atom_site_fract_y
_atom_site_fract_z
Ca1 Ca 0.000 0.000 0.000
Tl1 Tl 0.148 0.340 0.348
Tl2 Tl 0.407 0.831 0.560
Tl3 Tl 0.451 0.650 0.075
Tl4 Tl 0.592 0.235 0.114
Tl5 Tl 0.695 0.372 0.652
Tl6 Tl 0.863 0.910 0.453
C1 C 0.165 0.238 0.734
C2 C 0.912 0.680 0.080
O1 O 0.008 0.295 0.584
O2 O 0.098 0.746 0.173
O3 O 0.138 0.180 0.875
O4 O 0.343 0.238 0.741
O5 O 0.798 0.747 0.914
O6 O 0.845 0.560 0.154
F1 F 0.543 0.067 0.420
F2 F 0.607 0.646 0.430
```

Most intense lines, 2θ = 10–80°, in order of rising 2θ:
d (Å)  2θ (°)  intensity  h k l
7.106  12.46  48  0 0 1
6.584  13.45  37  1 0 0
3.963  22.43  60  1 0 -2
3.723  23.90  42  0 2 0
3.553  25.06  45  0 0 2
3.507  25.40  82  1 1 -2
3.316  26.89  83  0 2 -1
3.288  27.12  100  2 1 -1
3.258  27.37  56  2 0 -2
3.236  27.57  42  -1 2 1
3.027  29.51  60  2 -1 0
2.993  29.85  77  2 1 0

Computed powder diffraction line list
Compound: CaTl6C2O6F2
Radiation: Cu Kα X-rays
Structure: the GGA-PBE geometry in the Materials Project
Peak positions follow from Bragg's law for the DFT cell and can differ from measured ones.

Cell and atoms:
```
data_CaTl6C2O6F2
_chemical_formula_sum 'Ca1 Tl6 C2 O6 F2'
_symmetry_space_group_name_H-M 'P 1'
_symmetry_Int_Tables_number 1
_symmetry_space_group_name_Hall 'P 1'
_cell_length_a 6.928
_cell_length_b 7.297
_cell_length_c 8.010
_cell_angle_alpha 102.71
_cell_angle_beta 113.62
_cell_angle_gamma 93.81
loop_
_atom_site_label
_atom_site_type_symbol
_atom_site_fract_x
_atom_site_fract_y
_atom_site_fract_z
Ca1 Ca 0.000 0.000 0.000
Tl1 Tl 0.059 0.182 0.543
Tl2 Tl 0.238 0.508 0.975
Tl3 Tl 0.344 0.701 0.513
Tl4 Tl 0.529 0.176 0.378
Tl5 Tl 0.706 0.767 0.229
Tl6 Tl 0.751 0.425 0.916
C1 C 0.476 0.068 0.920
C2 C 0.846 0.622 0.610
O1 O 0.037 0.587 0.640
O2 O 0.333 0.062 0.987
O3 O 0.424 0.086 0.749
O4 O 0.675 0.062 0.025
O5 O 0.682 0.538 0.449
O6 O 0.813 0.742 0.739
F1 F 0.097 0.797 0.173
F2 F 0.156 0.254 0.260
```

Most intense lines, 2θ = 10–80°, in order of rising 2θ:
d (Å)  2θ (°)  intensity  h k l
5.824  15.21  86  0 1 -1
3.924  22.66  32  1 0 1
3.688  24.13  60  1 1 -2
3.566  24.97  31  0 1 -2
3.540  25.15  100  0 2 -1
3.142  28.40  58  -1 1 2
3.058  29.20  64  2 -1 0
3.030  29.48  99  2 1 -1
2.849  31.40  74  0 2 1
2.757  32.47  46  -2 1 2
2.641  33.95  34  1 1 -3
2.632  34.06  32  1 0 2